Ca3SiSn2: calculated PXRD pattern (a wavelength of 1.5418 Å), based on the GGA-PBE geometry in Alexandria.
Peak positions follow from Bragg's law for the DFT cell and can differ from measured ones.

Crystal structure
a = 12.5256 Å, b = 4.3336 Å, c = 12.7221 Å
α = 90.00°, β = 90.00°, γ = 90.00°
Space group Pnma (No. 62)
Symmetry-distinct sites (fractional):
Ca  0.0622  0.2500  0.1216 (multiplicity 4)
Ca  0.1164  0.7500  0.5444 (multiplicity 4)
Ca  0.2175  0.2500  0.7787 (multiplicity 4)
Si  0.1414  0.2500  0.3536 (multiplicity 4)
Sn  0.0153  0.7500  0.3137 (multiplicity 4)
Sn  0.1922  0.7500  0.9890 (multiplicity 4)

Top 10 peaks for 2θ from 10° to 90°, by angle:
- 2θ = 19.89°, intensity 99, hkl 2 0 2
- 2θ = 22.13°, intensity 67, hkl 1 0 3
- 2θ = 25.90°, intensity 80, hkl 1 1 2
- 2θ = 28.71°, intensity 75, hkl 2 1 2
- 2θ = 29.45°, intensity 100, hkl 0 1 3
- 2θ = 30.55°, intensity 59, hkl 3 1 1
- 2θ = 32.95°, intensity 61, hkl 3 1 2
- 2θ = 36.07°, intensity 86, hkl 4 1 1
- 2θ = 38.18°, intensity 96, hkl 4 1 2
- 2θ = 41.68°, intensity 72, hkl 0 2 0